Record 1
For Er3BTe2, the GGA-PBE geometry in Alexandria gives the theoretical XRD peak list in this record (copper Kα).
Kinematic intensities with the Lorentz-polarization factor, no thermal factor.

The 10 most intense peaks (15° ≤ 2θ ≤ 90°), in order of falling intensity:
2θ (°)  I/Imax
30.4  100
43.6  42
39.5  13
54.8  12
71.8  11
42.7  11
44.4  11
32.9  10
31.1  9
26.6  9

Structural model:
```
Er3BTe2
1.0
0.0000 5.8807 12.2333
4.2303 0.0000 12.2333
4.2303 5.8807 0.0000
Er B Te
12 4 8
direct
0.0338 0.5305 0.1721
0.0727 0.6773 0.6773
0.1721 0.7636 0.0338
0.2364 0.8279 0.4695
0.3227 0.9273 0.9273
0.4695 0.9662 0.2364
0.5305 0.0338 0.7636
0.6773 0.0727 0.0727
0.7636 0.1721 0.5305
0.8279 0.2364 0.9662
0.9273 0.3227 0.3227
0.9662 0.4695 0.8279
0.0411 0.0411 0.2089
0.2089 0.2089 0.0411
0.7911 0.7911 0.9589
0.9589 0.9589 0.7911
0.1308 0.1308 0.6192
0.2972 0.2972 0.4528
0.3808 0.3808 0.8692
0.4528 0.4528 0.2972
0.5472 0.5472 0.7028
0.6192 0.6192 0.1308
0.7028 0.7028 0.5472
0.8692 0.8692 0.3808
```

Record 2
For Er2ThB6, the GGA-PBE geometry in Alexandria gives the theoretical XRD peak list in this record (copper Kα).
Kinematic intensities with the Lorentz-polarization factor, no thermal factor.

The 10 most intense peaks (15° ≤ 2θ ≤ 90°), in order of falling intensity:
2θ (°)  I/Imax
38.9  100
31.4  75
22.5  50
56.7  29
61.0  22
55.9  19
70.2  18
75.1  16
80.3  12
45.9  11

Structural model:
```
Er2ThB6
1.0
5.7024 0.0000 0.0000
-2.8512 4.9384 0.0000
0.0000 0.0000 3.9534
Er Th B
2 1 6
direct
0.3333 0.6667 0.0000
0.6667 0.3333 0.0000
0.0000 0.0000 0.0000
0.0000 0.3397 0.5000
0.0000 0.6603 0.5000
0.3397 0.0000 0.5000
0.3397 0.3397 0.5000
0.6603 0.0000 0.5000
0.6603 0.6603 0.5000
```

Record 3
For ErThB12, the GGA-PBE geometry in Alexandria gives the theoretical XRD peak list in this record (copper Kα).
Kinematic intensities with the Lorentz-polarization factor, no thermal factor.

The 10 most intense peaks (15° ≤ 2θ ≤ 90°), in order of falling intensity:
2θ (°)  I/Imax
30.8  100
21.7  77
49.7  52
38.0  42
54.9  31
68.7  28
44.2  21
73.0  20
89.4  20
77.2  14

Structural model:
```
ErThB12
1.0
4.0987 0.0000 0.0000
0.0000 4.0987 0.0000
0.0000 0.0000 8.2016
Er Th B
1 1 12
direct
0.0000 0.0000 0.0000
0.0000 0.0000 0.5000
0.1978 0.5000 0.2481
0.1978 0.5000 0.7519
0.5000 0.1978 0.2481
0.5000 0.1978 0.7519
0.5000 0.5000 0.0985
0.5000 0.5000 0.4005
0.5000 0.5000 0.5995
0.5000 0.5000 0.9015
0.5000 0.8022 0.2481
0.5000 0.8022 0.7519
0.8022 0.5000 0.2481
0.8022 0.5000 0.7519
```

Record 4
For ErZr2B6, the GGA-PBE geometry in Alexandria gives the theoretical XRD peak list in this record (copper Kα).
Kinematic intensities with the Lorentz-polarization factor, no thermal factor.

The 10 most intense peaks (15° ≤ 2θ ≤ 90°), in order of falling intensity:
2θ (°)  I/Imax
40.9  100
32.2  74
24.5  41
61.0  24
57.5  20
63.4  19
73.0  17
79.8  15
18.4  13
50.3  12

Structural model:
```
ErZr2B6
1.0
5.5533 0.0000 0.0000
-2.7767 4.8093 0.0000
0.0000 0.0000 3.6296
Er Zr B
1 2 6
direct
0.0000 0.0000 0.0000
0.3333 0.6667 0.0000
0.6667 0.3333 0.0000
0.0000 0.3366 0.5000
0.0000 0.6634 0.5000
0.3366 0.0000 0.5000
0.3366 0.3366 0.5000
0.6634 0.0000 0.5000
0.6634 0.6634 0.5000
```

Record 5
For EuB3N3, the GGA-PBE geometry in Alexandria gives the theoretical XRD peak list in this record (copper Kα).
Kinematic intensities with the Lorentz-polarization factor, no thermal factor.

The 9 most intense peaks (15° ≤ 2θ ≤ 90°), in order of falling intensity:
2θ (°)  I/Imax
26.1  100
46.0  78
73.4  38
37.2  36
60.6  21
53.7  15
85.3  13
79.4  5
67.2  3

Structural model:
```
EuB3N3
1.0
4.8284 0.0000 0.0000
0.0000 4.8284 0.0000
0.0000 0.0000 4.8284
Eu B N
2 6 6
direct
0.0000 0.0000 0.0000
0.5000 0.5000 0.5000
0.0000 0.2500 0.5000
0.0000 0.7500 0.5000
0.2500 0.5000 0.0000
0.5000 0.0000 0.2500
0.5000 0.0000 0.7500
0.7500 0.5000 0.0000
0.0000 0.5000 0.2500
0.0000 0.5000 0.7500
0.2500 0.0000 0.5000
0.5000 0.2500 0.0000
0.5000 0.7500 0.0000
0.7500 0.0000 0.5000
```

Record 6
For EuB6N6, the GGA-PBE geometry in Alexandria gives the theoretical XRD peak list in this record (copper Kα).
Kinematic intensities with the Lorentz-polarization factor, no thermal factor.

The 10 most intense peaks (15° ≤ 2θ ≤ 90°), in order of falling intensity:
2θ (°)  I/Imax
19.1  100
47.9  56
43.5  49
27.1  40
33.3  33
38.7  27
76.6  27
59.6  24
86.1  14
66.6  14

Structural model:
```
EuB6N6
1.0
4.6558 0.0000 0.0000
0.0000 4.6558 0.0000
0.0000 0.0000 4.6558
Eu B N
1 6 6
direct
0.0000 0.0000 0.0000
0.0000 0.2427 0.5000
0.0000 0.7573 0.5000
0.2427 0.5000 0.0000
0.5000 0.0000 0.2427
0.5000 0.0000 0.7573
0.7573 0.5000 0.0000
0.0000 0.5000 0.2498
0.0000 0.5000 0.7502
0.2498 0.0000 0.5000
0.5000 0.2498 0.0000
0.5000 0.7502 0.0000
0.7502 0.0000 0.5000
```

Record 7
For Na3Eu9B8O27, the GGA-PBE geometry in Alexandria gives the theoretical XRD peak list in this record (copper Kα).
Kinematic intensities with the Lorentz-polarization factor, no thermal factor.

The 10 most intense peaks (15° ≤ 2θ ≤ 90°), in order of falling intensity:
2θ (°)  I/Imax
29.2  100
20.1  40
46.4  40
35.3  39
22.7  23
56.4  20
59.6  20
40.9  18
42.6  13
47.5  13

Structural model:
```
Na3Eu9B8O27
1.0
8.8159 0.0000 0.0000
-4.4080 7.6348 0.0000
0.0000 0.0000 8.4962
Na Eu B O
3 9 8 27
direct
0.0000 0.3322 0.0000
0.3322 0.0000 0.0000
0.6678 0.6678 0.0000
0.0000 0.2802 0.5000
0.0000 0.6504 0.2388
0.0000 0.6504 0.7612
0.2802 0.0000 0.5000
0.3496 0.3496 0.2388
0.3496 0.3496 0.7612
0.6504 0.0000 0.2388
0.6504 0.0000 0.7612
0.7198 0.7198 0.5000
0.0000 0.0000 0.2116
0.0000 0.0000 0.7884
0.3333 0.6667 0.0000
0.3333 0.6667 0.3279
0.3333 0.6667 0.6721
0.6667 0.3333 0.0000
0.6667 0.3333 0.3279
0.6667 0.3333 0.6721
0.0000 0.1567 0.2136
0.0000 0.1567 0.7864
0.0000 0.7478 0.5000
0.1567 0.0000 0.2136
0.1567 0.0000 0.7864
0.1774 0.5113 0.3214
0.1774 0.5113 0.6786
0.1811 0.6776 0.0000
0.2522 0.2522 0.5000
0.3224 0.5035 0.0000
0.3339 0.8226 0.3214
0.3339 0.8226 0.6786
0.4887 0.6661 0.3214
0.4887 0.6661 0.6786
0.4965 0.8189 0.0000
0.5035 0.3224 0.0000
0.5113 0.1774 0.3214
0.5113 0.1774 0.6786
0.6661 0.4887 0.3214
0.6661 0.4887 0.6786
0.6776 0.1811 0.0000
0.7478 0.0000 0.5000
0.8189 0.4965 0.0000
0.8226 0.3339 0.3214
0.8226 0.3339 0.6786
0.8433 0.8433 0.2136
0.8433 0.8433 0.7864
```

Record 8
For NdEuB12, the GGA-PBE geometry in Alexandria gives the theoretical XRD peak list in this record (copper Kα).
Kinematic intensities with the Lorentz-polarization factor, no thermal factor.

The 10 most intense peaks (15° ≤ 2θ ≤ 90°), in order of falling intensity:
2θ (°)  I/Imax
30.5  100
21.4  65
49.1  50
37.6  42
67.8  28
54.2  28
43.7  21
72.0  20
88.2  18
76.2  13

Structural model:
```
NdEuB12
1.0
0.0000 4.1455 4.1455
4.1455 0.0000 4.1455
4.1455 4.1455 0.0000
Nd Eu B
1 1 12
direct
0.0000 0.0000 0.0000
0.5000 0.5000 0.5000
0.1002 0.1002 0.3998
0.1002 0.3998 0.1002
0.1002 0.3998 0.3998
0.3998 0.1002 0.1002
0.3998 0.1002 0.3998
0.3998 0.3998 0.1002
0.6002 0.6002 0.8998
0.6002 0.8998 0.6002
0.6002 0.8998 0.8998
0.8998 0.6002 0.6002
0.8998 0.6002 0.8998
0.8998 0.8998 0.6002
```

What did the fifth record say?
For EuB3N3, the GGA-PBE geometry in Alexandria gives the theoretical XRD peak list in this record (copper Kα).
Kinematic intensities with the Lorentz-polarization factor, no thermal factor.

The 9 most intense peaks (15° ≤ 2θ ≤ 90°), in order of falling intensity:
2θ (°)  I/Imax
26.1  100
46.0  78
73.4  38
37.2  36
60.6  21
53.7  15
85.3  13
79.4  5
67.2  3

Structural model:
```
EuB3N3
1.0
4.8284 0.0000 0.0000
0.0000 4.8284 0.0000
0.0000 0.0000 4.8284
Eu B N
2 6 6
direct
0.0000 0.0000 0.0000
0.5000 0.5000 0.5000
0.0000 0.2500 0.5000
0.0000 0.7500 0.5000
0.2500 0.5000 0.0000
0.5000 0.0000 0.2500
0.5000 0.0000 0.7500
0.7500 0.5000 0.0000
0.0000 0.5000 0.2500
0.0000 0.5000 0.7500
0.2500 0.0000 0.5000
0.5000 0.2500 0.0000
0.5000 0.7500 0.0000
0.7500 0.0000 0.5000
```

Question: What is the formula in the fifth record?
Answer: EuB3N3